For ScCl, DFT lattice parameters and positions (GGA-PBE) gives the calculated X-ray powder pattern in this record (λ = 1.5418 Å (Cu Kα)).

Structure:
Cell: 3.4948 3.4948 29.7355 Å, 90.00 90.00 120.00°
Space group R-3m (No. 166, hexagonal axes)
Inequivalent atoms, fractional coordinates:
Sc  0.0000  0.0000  0.2092 [6 per cell]
Cl  0.0000  0.0000  0.4025 [6 per cell]

Principal peaks in the range 2θ from 10° to 90°, in order of rising 2θ:
index  two_theta  I/Imax
0 0 6  17.90  31
0 1 2  30.13  15
0 1 5  33.21  100
1 0 10  42.62  40
0 1 11  44.96  13
1 1 0  52.36  25